For Tb4Se7, the PBE geometry in OQMD gives the theoretical XRD peak list in this record (a wavelength of 1.5418 Å).
Peak positions follow from Bragg's law for the DFT cell and can differ from measured ones.

The 10 most intense peaks (2θ = 10–90°), low angle first:
| 2θ (°) | I (rel.) |
| --- | --- |
| 21.4 | 51 |
| 29.1 | 100 |
| 33.8 | 44 |
| 34.0 | 31 |
| 41.0 | 24 |
| 43.2 | 25 |
| 43.4 | 38 |
| 43.8 | 24 |
| 45.4 | 28 |
| 63.2 | 16 |

Structural model:
```
data_Tb4Se7
_chemical_formula_sum 'Tb4 Se7'
_space_group_name_H-M_alt 'P 1'
_space_group_IT_number 1
_space_group_name_Hall 'P 1'
_cell_length_a 10.558
_cell_length_b 7.057
_cell_length_c 7.057
_cell_angle_alpha 34.52
_cell_angle_beta 90.00
_cell_angle_gamma 90.00
loop_
_atom_site_label
_atom_site_type_symbol
_atom_site_fract_x
_atom_site_fract_y
_atom_site_fract_z
Tb1 Tb 0.000 0.000 0.000
Tb2 Tb 0.244 0.282 0.282
Tb3 Tb 0.500 0.999 0.999
Tb4 Tb 0.756 0.282 0.282
Se1 Se 0.000 0.358 0.358
Se2 Se 0.000 0.648 0.648
Se3 Se 0.249 0.925 0.925
Se4 Se 0.383 0.642 0.642
Se5 Se 0.500 0.355 0.355
Se6 Se 0.617 0.642 0.642
Se7 Se 0.751 0.925 0.925
```